For CaH6N4, DFT lattice parameters and positions (PBE) gives the computed XRD peak list in this record (Cu Ka).
Peak positions follow from Bragg's law for the DFT cell and can differ from measured ones.

Atomic structure:
```
11
Lattice="-2.5558 2.5558 3.1756 2.5558 -2.5558 3.1756 2.5558 2.5558 -3.1756" Properties=species:S:1:pos:R:3 pbc="T T T"
Ca 0.0000 0.0000 0.0000
H 2.5558 0.0000 0.0000
H 1.0413 -1.0413 1.9577
H 1.5145 1.5145 1.2179
H 0.0000 2.5558 0.0000
H -1.0413 1.0413 1.9577
H 1.0413 1.0413 4.3935
N 1.4474 1.4474 -1.0735
N 1.1084 -1.1084 4.2491
N 1.1084 1.1084 2.1021
N -1.1084 1.1084 4.2491
```

Top 6 peaks for 15 to 90 degrees two-theta, by intensity:
2θ 22.33, I 100
2θ 42.01, I 66
2θ 37.71, I 57
2θ 24.63, I 54
2θ 45.56, I 53
2θ 50.50, I 28

For Nd2ErIn9, DFT lattice parameters and positions (PBE) gives the computed XRD peak list in this record (Cu Ka).
Peak positions follow from Bragg's law for the DFT cell and can differ from measured ones.

Atomic structure:
```
12
Lattice="4.6881 0.0000 0.0000 0.0000 4.6881 0.0000 0.0000 0.0000 14.0417" Properties=species:S:1:pos:R:3 pbc="T T T"
Nd 0.0000 0.0000 2.3687
Nd 0.0000 0.0000 11.6729
Er 0.0000 0.0000 7.0208
In 0.0000 2.3441 0.0000
In 0.0000 2.3441 4.7447
In 0.0000 2.3441 9.2970
In 2.3441 0.0000 0.0000
In 2.3441 0.0000 4.7447
In 2.3441 0.0000 9.2970
In 2.3441 2.3441 2.3507
In 2.3441 2.3441 7.0208
In 2.3441 2.3441 11.6910
```

Top 6 peaks for 15 to 90 degrees two-theta, by intensity:
2θ 33.11, I 100
2θ 38.42, I 50
2θ 66.14, I 39
2θ 55.47, I 33
2θ 69.49, I 11
2θ 82.26, I 4

For Tb4Sm2Dy7, DFT lattice parameters and positions (PBE) gives the computed XRD peak list in this record (Cu Ka).
Peak positions follow from Bragg's law for the DFT cell and can differ from measured ones.

Atomic structure:
```
13
Lattice="6.1585 0.0000 0.0000 1.0291 7.8788 0.0000 0.0424 3.9916 8.5381" Properties=species:S:1:pos:R:3 pbc="T T T"
Tb 0.5143 2.7307 1.3070
Tb 1.5727 5.7932 6.5770
Tb 5.6572 6.0772 1.9611
Tb 6.7156 9.1397 7.2311
Sm 2.5820 4.8637 3.2786
Sm 4.6479 7.0066 5.2595
Dy 1.5617 8.2166 3.9376
Dy 2.5719 7.2791 0.6554
Dy 3.6289 10.3404 5.9155
Dy 3.5938 3.9394 0.0000
Dy 3.6010 1.5299 2.6226
Dy 4.6580 4.5913 7.8827
Dy 5.6682 3.6537 4.6006
```

Top 6 peaks for 15 to 90 degrees two-theta, by intensity:
2θ 30.77, I 100
2θ 35.75, I 34
2θ 61.16, I 28
2θ 51.30, I 24
2θ 35.54, I 17
2θ 64.10, I 12

For Rb2NbSeO6, DFT lattice parameters and positions (PBE) gives the computed XRD peak list in this record (Cu Ka).
Peak positions follow from Bragg's law for the DFT cell and can differ from measured ones.

Atomic structure:
```
10
Lattice="-2.8582 2.8582 4.0368 2.8582 -2.8582 4.0368 2.8582 2.8582 -4.0368" Properties=species:S:1:pos:R:3 pbc="T T T"
Rb 2.8582 0.0000 2.0184
Rb 0.0000 2.8582 2.0184
Nb 0.0000 0.0000 0.0000
Se 0.0000 0.0000 4.0368
O 0.0000 0.0000 2.0456
O 1.4438 1.4438 0.0000
O 1.4144 -1.4144 4.0368
O -1.4144 1.4144 4.0368
O 0.0000 0.0000 6.0280
O 1.4144 1.4144 4.0368
```

Top 6 peaks for 15 to 90 degrees two-theta, by intensity:
2θ 31.31, I 100
2θ 55.73, I 39
2θ 44.87, I 35
2θ 65.32, I 21
2θ 74.19, I 11
2θ 82.75, I 7

For Ac2LaPr3N6, DFT lattice parameters and positions (PBE) gives the computed XRD peak list in this record (Cu Ka).
Peak positions follow from Bragg's law for the DFT cell and can differ from measured ones.

Atomic structure:
```
12
Lattice="8.2576 -1.8851 0.0000 8.2576 1.8851 0.0000 -1.7529 0.0000 7.3594" Properties=species:S:1:pos:R:3 pbc="T T T"
Ac 2.1652 0.0000 2.4240
Ac 12.5971 0.0000 4.9353
La 8.2576 0.0000 0.0000
Pr 1.2274 0.0000 6.1240
Pr 7.3812 0.0000 3.6797
Pr 13.5349 0.0000 1.2353
N -1.2741 0.0000 5.5230
N 3.9514 0.0000 6.7980
N 4.8691 0.0000 3.0017
N 9.8932 0.0000 4.3577
N 10.8109 0.0000 0.5613
N 16.0364 0.0000 1.8364
```

Top 6 peaks for 15 to 90 degrees two-theta, by intensity:
2θ 33.53, I 100
2θ 28.90, I 70
2θ 28.96, I 70
2θ 48.12, I 59
2θ 57.12, I 38
2θ 57.25, I 22

For PaAs3O7, DFT lattice parameters and positions (PBE) gives the computed XRD peak list in this record (Cu Ka).
Peak positions follow from Bragg's law for the DFT cell and can differ from measured ones.

Atomic structure:
```
11
Lattice="3.8373 2.2155 3.4438 -3.8373 2.2155 3.4438 0.0000 -4.4309 3.4438" Properties=species:S:1:pos:R:3 pbc="T T T"
Pa 0.0000 0.0000 0.0000
As -1.6895 -0.9754 3.9641
As 1.6895 -0.9754 3.9641
As 0.0000 1.9508 3.9641
O -2.3053 -1.3310 5.6376
O 0.0000 0.0000 1.9092
O 0.0000 -1.7041 4.2514
O -1.4758 0.8521 4.2514
O 1.4758 0.8521 4.2514
O 2.3053 -1.3310 5.6376
O 0.0000 2.6620 5.6376
```

Top 6 peaks for 15 to 90 degrees two-theta, by intensity:
2θ 28.21, I 100
2θ 21.79, I 46
2θ 32.02, I 42
2θ 15.85, I 36
2θ 25.87, I 27
2θ 47.38, I 26